# 1
Theoretical X-ray powder pattern
Compound: Ru5W
Radiation: Cu Ka
Structure: a crystal structure in Alexandria, relaxed with PBE

Largest 8 diffraction maxima, most intense first, 5 to 70 degrees two-theta:
- 43.3 deg, 2.089 Å, I = 100
- 37.7 deg, 2.383 Å, I = 25
- 41.6 deg, 2.172 Å, I = 25
- 68.2 deg, 1.376 Å, I = 17
- 57.4 deg, 1.605 Å, I = 15
- 29.9 deg, 2.992 Å, I = 5
- 21.5 deg, 4.128 Å, I = 4
- 20.4 deg, 4.343 Å, I = 2

Crystal structure
Cell lengths 4.766, 4.766, 4.343 Å; angles 90.00, 90.00, 120.00 degrees
Atoms (fractional coordinates):
Ru 0.000 0.662 0.000
Ru 0.333 0.667 0.500
Ru 0.338 0.338 0.000
Ru 0.662 0.000 0.000
Ru 0.667 0.333 0.500
W 0.000 0.000 0.500



# 2
Theoretical X-ray powder pattern
Compound: Ru3W5
Radiation: Cu Ka
Structure: a crystal structure in Alexandria, relaxed with PBE

Largest 8 diffraction maxima, most intense first, 5 to 70 degrees two-theta:
- 38.8 deg, 2.320 Å, I = 100
- 41.1 deg, 2.196 Å, I = 83
- 42.4 deg, 2.130 Å, I = 73
- 39.9 deg, 2.258 Å, I = 72
- 36.9 deg, 2.439 Å, I = 68
- 41.7 deg, 2.167 Å, I = 65
- 42.9 deg, 2.109 Å, I = 59
- 38.5 deg, 2.339 Å, I = 54

Crystal structure
Cell lengths 5.042, 7.162, 7.591 Å; angles 87.41, 73.98, 72.31 degrees
Atoms (fractional coordinates):
Ru 0.136 0.465 0.138
Ru 0.235 0.044 0.995
Ru 0.346 0.858 0.522
Ru 0.654 0.142 0.478
Ru 0.765 0.956 0.005
Ru 0.864 0.535 0.862
W 0.058 0.178 0.711
W 0.230 0.145 0.311
W 0.248 0.502 0.497
W 0.285 0.705 0.851
W 0.480 0.303 0.819
W 0.520 0.697 0.181
W 0.715 0.295 0.149
W 0.752 0.498 0.503
W 0.770 0.855 0.689
W 0.942 0.822 0.289



# 3
Theoretical X-ray powder pattern
Compound: Ru5W4
Radiation: Cu Ka
Structure: a crystal structure in Alexandria, relaxed with PBE

Largest 8 diffraction maxima, most intense first, 5 to 70 degrees two-theta:
- 39.9 deg, 2.258 Å, I = 100
- 46.1 deg, 1.968 Å, I = 32
- 68.0 deg, 1.379 Å, I = 20
- 47.0 deg, 1.932 Å, I = 16
- 67.3 deg, 1.392 Å, I = 10
- 33.4 deg, 2.685 Å, I = 7
- 30.3 deg, 2.952 Å, I = 5
- 64.8 deg, 1.439 Å, I = 4

Crystal structure
Cell lengths 6.212, 6.212, 6.212 Å; angles 95.55, 95.55, 143.76 degrees
Atoms (fractional coordinates):
Ru 0.000 0.000 0.000
Ru 0.336 0.336 0.671
Ru 0.336 0.664 0.000
Ru 0.664 0.336 0.000
Ru 0.664 0.664 0.329
W 0.000 0.319 0.319
W 0.000 0.681 0.681
W 0.319 0.000 0.319
W 0.681 0.000 0.681



# 4
Theoretical X-ray powder pattern
Compound: Ru3W
Radiation: Cu Ka
Structure: a crystal structure in Alexandria, relaxed with PBE

Largest 8 diffraction maxima, most intense first, 5 to 70 degrees two-theta:
- 43.1 deg, 2.099 Å, I = 100
- 37.6 deg, 2.390 Å, I = 26
- 41.1 deg, 2.195 Å, I = 25
- 67.9 deg, 1.380 Å, I = 17
- 57.0 deg, 1.617 Å, I = 16
- 10.1 deg, 8.779 Å, I = 13
- 39.1 deg, 2.307 Å, I = 5
- 20.2 deg, 4.390 Å, I = 4

Crystal structure
Cell lengths 2.760, 2.760, 8.779 Å; angles 90.00, 90.00, 120.00 degrees
Atoms (fractional coordinates):
Ru 0.000 0.000 0.000
Ru 0.667 0.333 0.244
Ru 0.667 0.333 0.756
W 0.000 0.000 0.500



# 5
Theoretical X-ray powder pattern
Compound: Ru4W3
Radiation: Cu Ka
Structure: a crystal structure in Alexandria, relaxed with PBE

Largest 8 diffraction maxima, most intense first, 5 to 70 degrees two-theta:
- 41.1 deg, 2.199 Å, I = 100
- 40.2 deg, 2.243 Å, I = 55
- 58.2 deg, 1.586 Å, I = 19
- 16.6 deg, 5.338 Å, I = 11
- 60.7 deg, 1.525 Å, I = 7
- 30.9 deg, 2.897 Å, I = 6
- 43.8 deg, 2.068 Å, I = 4
- 8.3 deg, 10.676 Å, I = 4

Crystal structure
Cell lengths 3.172, 3.172, 21.352 Å; angles 90.00, 90.00, 90.00 degrees
Atoms (fractional coordinates):
Ru 0.000 0.000 0.065
Ru 0.000 0.000 0.350
Ru 0.000 0.000 0.650
Ru 0.000 0.000 0.935
Ru 0.500 0.500 0.150
Ru 0.500 0.500 0.435
Ru 0.500 0.500 0.565
Ru 0.500 0.500 0.850
W 0.000 0.000 0.211
W 0.000 0.000 0.500
W 0.000 0.000 0.789
W 0.500 0.500 0.000
W 0.500 0.500 0.289
W 0.500 0.500 0.711



# 6
Theoretical X-ray powder pattern
Compound: RuW4
Radiation: Cu Ka
Structure: a crystal structure in Alexandria, relaxed with PBE

Largest 7 diffraction maxima, most intense first, 5 to 70 degrees two-theta:
- 40.3 deg, 2.236 Å, I = 100
- 58.4 deg, 1.580 Å, I = 11
- 58.2 deg, 1.584 Å, I = 6
- 17.8 deg, 4.996 Å, I = 3
- 25.2 deg, 3.532 Å, I = 1
- 55.1 deg, 1.666 Å, I = 1
- 30.9 deg, 2.891 Å, I = 1

Crystal structure
Cell lengths 7.065, 7.065, 3.169 Å; angles 90.00, 90.00, 90.00 degrees
Atoms (fractional coordinates):
Ru 0.000 0.000 0.000
Ru 0.500 0.500 0.500
W 0.106 0.304 0.500
W 0.196 0.606 0.000
W 0.304 0.894 0.500
W 0.394 0.196 0.000
W 0.606 0.804 0.000
W 0.696 0.106 0.500
W 0.804 0.394 0.000
W 0.894 0.696 0.500



# 7
Theoretical X-ray powder pattern
Compound: Ru5W
Radiation: Cu Ka
Structure: a crystal structure in Alexandria, relaxed with PBE

Largest 8 diffraction maxima, most intense first, 5 to 70 degrees two-theta:
- 43.3 deg, 2.091 Å, I = 100
- 43.4 deg, 2.085 Å, I = 48
- 41.4 deg, 2.179 Å, I = 37
- 37.7 deg, 2.384 Å, I = 24
- 68.3 deg, 1.373 Å, I = 16
- 57.3 deg, 1.608 Å, I = 14
- 37.9 deg, 2.375 Å, I = 13
- 68.0 deg, 1.378 Å, I = 9

Crystal structure
Cell lengths 4.357, 2.756, 14.249 Å; angles 90.00, 90.00, 90.00 degrees
Atoms (fractional coordinates):
Ru 0.000 0.000 0.000
Ru 0.000 0.000 0.333
Ru 0.000 0.000 0.666
Ru 0.000 0.500 0.166
Ru 0.000 0.500 0.500
Ru 0.000 0.500 0.833
Ru 0.500 0.000 0.552
Ru 0.500 0.000 0.888
Ru 0.500 0.500 0.052
Ru 0.500 0.500 0.388
W 0.500 0.000 0.222
W 0.500 0.500 0.722



# 8
Theoretical X-ray powder pattern
Compound: ZnRu3W2
Radiation: Cu Ka
Structure: a crystal structure in Alexandria, relaxed with PBE

Largest 8 diffraction maxima, most intense first, 5 to 70 degrees two-theta:
- 40.6 deg, 2.221 Å, I = 100
- 43.0 deg, 2.105 Å, I = 44
- 62.4 deg, 1.488 Å, I = 14
- 8.8 deg, 10.007 Å, I = 10
- 55.1 deg, 1.668 Å, I = 9
- 17.7 deg, 5.003 Å, I = 9
- 35.1 deg, 2.558 Å, I = 8
- 55.3 deg, 1.661 Å, I = 3

Crystal structure
Cell lengths 2.976, 2.976, 10.007 Å; angles 90.00, 90.00, 90.00 degrees
Atoms (fractional coordinates):
Zn 0.000 0.000 0.000
Ru 0.500 0.500 0.164
Ru 0.500 0.500 0.500
Ru 0.500 0.500 0.836
W 0.000 0.000 0.320
W 0.000 0.000 0.680



# 9
Theoretical X-ray powder pattern
Compound: ZnRuW
Radiation: Cu Ka
Structure: a crystal structure in Alexandria, relaxed with PBE

Largest 8 diffraction maxima, most intense first, 5 to 70 degrees two-theta:
- 39.7 deg, 2.270 Å, I = 100
- 40.8 deg, 2.209 Å, I = 92
- 46.2 deg, 1.965 Å, I = 65
- 68.9 deg, 1.362 Å, I = 48
- 48.1 deg, 1.890 Å, I = 29
- 26.0 deg, 3.430 Å, I = 22
- 21.8 deg, 4.085 Å, I = 17
- 33.4 deg, 2.682 Å, I = 12

Crystal structure
Cell lengths 2.839, 3.780, 8.169 Å; angles 90.00, 90.00, 90.00 degrees
Atoms (fractional coordinates):
Zn 0.000 0.000 0.000
Zn 0.500 0.500 0.500
Ru 0.000 0.000 0.665
Ru 0.500 0.500 0.165
W 0.000 0.000 0.329
W 0.500 0.500 0.829



# 10
Theoretical X-ray powder pattern
Compound: Y5Ru3
Radiation: Cu Ka
Structure: a crystal structure in Alexandria, relaxed with PBE

Largest 8 diffraction maxima, most intense first, 5 to 70 degrees two-theta:
- 36.9 deg, 2.433 Å, I = 100
- 37.1 deg, 2.426 Å, I = 98
- 33.6 deg, 2.671 Å, I = 84
- 29.5 deg, 3.023 Å, I = 75
- 32.9 deg, 2.723 Å, I = 69
- 38.5 deg, 2.340 Å, I = 54
- 46.5 deg, 1.952 Å, I = 40
- 37.5 deg, 2.396 Å, I = 39

Crystal structure
Cell lengths 10.849, 10.849, 6.398 Å; angles 90.00, 90.00, 90.00 degrees
Atoms (fractional coordinates):
Y 0.042 0.164 0.124
Y 0.042 0.336 0.624
Y 0.164 0.042 0.624
Y 0.164 0.458 0.124
Y 0.250 0.750 0.000
Y 0.250 0.750 0.500
Y 0.336 0.042 0.124
Y 0.336 0.458 0.624
Y 0.458 0.164 0.624
Y 0.458 0.336 0.124
Y 0.542 0.664 0.876
Y 0.542 0.836 0.376
Y 0.664 0.542 0.376
Y 0.664 0.958 0.876
Y 0.750 0.250 0.000
Y 0.750 0.250 0.500
Y 0.836 0.542 0.876
Y 0.836 0.958 0.376
Y 0.958 0.664 0.376
Y 0.958 0.836 0.876
Ru 0.097 0.597 0.750
Ru 0.097 0.903 0.250
Ru 0.250 0.250 0.373
Ru 0.250 0.250 0.873
Ru 0.403 0.597 0.250
Ru 0.403 0.903 0.750
Ru 0.597 0.097 0.250
Ru 0.597 0.403 0.750
Ru 0.750 0.750 0.127
Ru 0.750 0.750 0.627
Ru 0.903 0.097 0.750
Ru 0.903 0.403 0.250



# 11
Theoretical X-ray powder pattern
Compound: Y6ZnRu2
Radiation: Cu Ka
Structure: a crystal structure in Alexandria, relaxed with PBE

Largest 8 diffraction maxima, most intense first, 5 to 70 degrees two-theta:
- 35.4 deg, 2.533 Å, I = 100
- 34.7 deg, 2.584 Å, I = 75
- 31.9 deg, 2.802 Å, I = 59
- 33.5 deg, 2.672 Å, I = 52
- 38.3 deg, 2.353 Å, I = 40
- 60.0 deg, 1.541 Å, I = 31
- 39.7 deg, 2.273 Å, I = 30
- 38.8 deg, 2.323 Å, I = 29

Crystal structure
Cell lengths 8.441, 8.441, 8.441 Å; angles 112.29, 112.11, 104.14 degrees
Atoms (fractional coordinates):
Y 0.049 0.244 0.805
Y 0.180 0.279 0.458
Y 0.180 0.721 0.901
Y 0.329 0.014 0.686
Y 0.329 0.643 0.314
Y 0.438 0.244 0.195
Y 0.562 0.756 0.805
Y 0.671 0.357 0.686
Y 0.671 0.986 0.314
Y 0.820 0.279 0.099
Y 0.820 0.721 0.542
Y 0.951 0.756 0.195
Zn 0.000 0.000 0.000
Zn 0.500 0.500 0.000
Ru 0.125 0.625 0.500
Ru 0.319 0.000 0.319
Ru 0.681 0.000 0.681
Ru 0.875 0.375 0.500



# 12
Theoretical X-ray powder pattern
Compound: Y3Zn8Ru3
Radiation: Cu Ka
Structure: a crystal structure in Alexandria, relaxed with PBE

Largest 8 diffraction maxima, most intense first, 5 to 70 degrees two-theta:
- 35.8 deg, 2.511 Å, I = 100
- 42.1 deg, 2.145 Å, I = 54
- 39.0 deg, 2.311 Å, I = 43
- 46.5 deg, 1.953 Å, I = 32
- 45.6 deg, 1.991 Å, I = 32
- 36.4 deg, 2.468 Å, I = 27
- 34.5 deg, 2.599 Å, I = 25
- 42.9 deg, 2.107 Å, I = 24

Crystal structure
Cell lengths 8.088, 8.088, 8.088 Å; angles 149.24, 111.24, 77.19 degrees
Atoms (fractional coordinates):
Y 0.000 0.000 0.000
Y 0.304 0.304 0.000
Y 0.696 0.696 0.000
Zn 0.015 0.655 0.360
Zn 0.150 0.870 0.281
Zn 0.294 0.655 0.640
Zn 0.411 0.130 0.281
Zn 0.589 0.870 0.719
Zn 0.706 0.345 0.360
Zn 0.850 0.130 0.719
Zn 0.985 0.345 0.640
Ru 0.326 0.500 0.826
Ru 0.500 0.000 0.500
Ru 0.674 0.500 0.174



# 13
Theoretical X-ray powder pattern
Compound: YZr2Ru3
Radiation: Cu Ka
Structure: a crystal structure in Alexandria, relaxed with PBE

Largest 8 diffraction maxima, most intense first, 5 to 70 degrees two-theta:
- 38.2 deg, 2.354 Å, I = 100
- 38.5 deg, 2.340 Å, I = 51
- 69.4 deg, 1.354 Å, I = 33
- 55.5 deg, 1.655 Å, I = 17
- 69.0 deg, 1.362 Å, I = 15
- 54.8 deg, 1.674 Å, I = 8
- 45.3 deg, 2.000 Å, I = 2
- 8.8 deg, 10.044 Å, I = 1

Crystal structure
Cell lengths 3.310, 3.310, 10.044 Å; angles 90.00, 90.00, 90.00 degrees
Atoms (fractional coordinates):
Y 0.000 0.000 0.000
Zr 0.000 0.000 0.336
Zr 0.000 0.000 0.664
Ru 0.500 0.500 0.183
Ru 0.500 0.500 0.500
Ru 0.500 0.500 0.817



# 14
Theoretical X-ray powder pattern
Compound: Zn2Ru
Radiation: Cu Ka
Structure: a crystal structure in Alexandria, relaxed with PBE

Largest 8 diffraction maxima, most intense first, 5 to 70 degrees two-theta:
- 40.9 deg, 2.209 Å, I = 100
- 47.8 deg, 1.901 Å, I = 32
- 69.2 deg, 1.357 Å, I = 18
- 46.9 deg, 1.937 Å, I = 15
- 70.0 deg, 1.344 Å, I = 10
- 23.7 deg, 3.752 Å, I = 3
- 35.9 deg, 2.501 Å, I = 2
- 42.3 deg, 2.137 Å, I = 2

Crystal structure
Cell lengths 11.931, 11.931, 11.931 Å; angles 161.66, 161.66, 26.05 degrees
Atoms (fractional coordinates):
Zn 0.125 0.375 0.750
Zn 0.288 0.538 0.750
Zn 0.375 0.125 0.250
Zn 0.462 0.712 0.750
Zn 0.538 0.288 0.250
Zn 0.625 0.875 0.750
Zn 0.712 0.462 0.250
Zn 0.875 0.625 0.250
Ru 0.047 0.797 0.250
Ru 0.203 0.953 0.250
Ru 0.797 0.047 0.750
Ru 0.953 0.203 0.750